1.
The following is a theoretical X-ray diffraction stick pattern of Li2Cd2GaAg4. It was derived from a crystal structure in Alexandria, relaxed with GGA-PBE, using CuKα.
Neutral-atom scattering factors, no anomalous dispersion.

Main lines, sorted by position (10° ≤ 2θ ≤ 80°):
2θ 17.86, I 38
2θ 22.00, I 38
2θ 29.19, I 46
2θ 36.76, I 82
2θ 38.32, I 100
2θ 38.41, I 91
2θ 38.73, I 88
2θ 39.41, I 79
2θ 39.67, I 84
2θ 54.15, I 49

Cell and atoms:
```
9
Lattice="4.8929 0.0000 0.0000 2.3824 4.9691 0.0000 2.2324 -0.1732 6.6960" Properties=species:S:1:pos:R:3 pbc="T T T"
Li 2.6400 1.7993 1.6495
Li 6.8678 2.9967 5.0465
Cd 2.3962 0.3020 4.1160
Cd 7.1115 4.4940 2.5800
Ga 4.7539 2.3980 3.3480
Ag 4.3371 3.4471 6.3220
Ag 4.5911 4.0386 1.1222
Ag 4.9167 0.7573 5.5738
Ag 5.1707 1.3488 0.3741
```

---

2.
The following is a theoretical X-ray diffraction stick pattern of Mg5CdGa2Ag. It was derived from a crystal structure in Alexandria, relaxed with GGA-PBE, using CuKα.
Neutral-atom scattering factors, no anomalous dispersion.

Main lines, sorted by position (10° ≤ 2θ ≤ 80°):
2θ 22.85, I 56
2θ 25.39, I 26
2θ 27.89, I 52
2θ 33.37, I 40
2θ 34.41, I 100
2θ 36.21, I 41
2θ 38.07, I 30
2θ 43.37, I 25
2θ 53.55, I 30
2θ 64.01, I 37

Cell and atoms:
```
18
Lattice="-3.5085 3.5085 7.7846 3.5085 -3.5085 7.7846 3.5085 3.5085 -7.7846" Properties=species:S:1:pos:R:3 pbc="T T T"
Mg 0.0000 0.0000 0.0000
Mg 4.9707 1.4623 -2.1316
Mg 1.4623 2.0462 -2.1316
Mg 4.9707 1.4623 2.1316
Mg 1.4623 2.0462 2.1316
Mg 0.0000 0.0000 7.7846
Mg 2.0462 1.4623 5.6530
Mg -1.4623 2.0462 5.6530
Mg 2.0462 1.4623 9.9161
Mg -1.4623 2.0462 9.9161
Cd 0.0000 0.0000 3.8923
Cd 0.0000 0.0000 11.6769
Ga 2.6381 0.8703 0.0000
Ga 2.6381 -0.8703 7.7846
Ga 0.8703 4.3788 0.0000
Ga 0.8703 2.6381 7.7846
Ag 3.5085 0.0000 3.8923
Ag 0.0000 3.5085 3.8923
```

---

3.
The following is a theoretical X-ray diffraction stick pattern of Na2Cd6GaAg. It was derived from a crystal structure in Alexandria, relaxed with GGA-PBE, using CuKα.
Neutral-atom scattering factors, no anomalous dispersion.

Main lines, sorted by position (10° ≤ 2θ ≤ 80°):
2θ 15.16, I 57
2θ 18.84, I 54
2θ 31.50, I 62
2θ 33.78, I 100
2θ 35.13, I 39
2θ 38.70, I 37
2θ 38.95, I 71
2θ 43.62, I 35
2θ 46.64, I 33
2θ 51.31, I 41

Cell and atoms:
```
20
Lattice="3.5612 2.0560 12.1543 -3.5612 2.0560 12.1543 0.0000 -4.1121 12.1543" Properties=species:S:1:pos:R:3 pbc="T T T"
Na 0.0000 0.0000 4.8251
Na 0.0000 0.0000 11.2481
Na 0.0000 0.0000 25.2147
Na 0.0000 0.0000 31.6378
Cd -2.1132 -1.2200 16.6977
Cd 0.0000 -2.2959 14.1785
Cd -1.9883 1.1479 14.1785
Cd -1.9883 -1.1479 22.2844
Cd 0.0000 -2.4401 19.7652
Cd -2.1132 1.2200 19.7652
Cd 2.1132 -1.2201 16.6976
Cd 0.0000 2.4401 16.6976
Cd 1.9883 1.1479 14.1785
Cd 1.9883 -1.1480 22.2844
Cd 0.0000 2.2959 22.2844
Cd 2.1132 1.2200 19.7652
Ga 0.0000 0.0000 15.4838
Ga 0.0000 0.0000 20.9791
Ag 0.0000 0.0000 0.0000
Ag 0.0000 0.0000 18.2314
```